Computed X-ray diffraction stick pattern
Compound: Pr2SO6
Radiation: Cu Kα X-rays
Structure: the PBE geometry in the Materials Project
Peak positions follow from Bragg's law for the DFT cell and can differ from measured ones.

Principal peaks in the range 10° ≤ 2θ ≤ 90°, sorted by position:
Position (°2θ), intensity
13.00, 30
28.59, 100
28.94, 48
29.05, 48
29.76, 89
43.16, 21
50.34, 23
50.48, 23
51.82, 21
51.89, 21

Cell and atoms:
```
data_Pr2SO6
_chemical_formula_sum 'Pr4 S2 O12'
_cell_length_a 7.4342
_cell_length_b 7.4342
_cell_length_c 8.3850
_cell_angle_alpha 106.18
_cell_angle_beta 106.18
_cell_angle_gamma 33.62
_symmetry_space_group_name_H-M 'P 1'
_symmetry_Int_Tables_number 1
loop_
_symmetry_equiv_pos_as_xyz
'x,y,z'
loop_
_atom_site_label
_atom_site_type_symbol
_atom_site_fract_x
_atom_site_fract_y
_atom_site_fract_z
Pr1 Pr 0.1628 0.1742 0.0853
Pr2 Pr 0.1742 0.1628 0.5853
Pr3 Pr 0.8258 0.8372 0.4147
Pr4 Pr 0.8372 0.8258 0.9147
S1 S 0.4374 0.5626 0.7500
S2 S 0.5626 0.4374 0.2500
O1 O 0.2302 0.7648 0.6041
O2 O 0.2352 0.7698 0.8959
O3 O 0.2389 0.2666 0.3762
O4 O 0.2666 0.2389 0.8762
O5 O 0.2792 0.5403 0.2092
O6 O 0.4597 0.7208 0.2908
O7 O 0.5403 0.2792 0.7092
O8 O 0.7208 0.4597 0.7908
O9 O 0.7334 0.7611 0.1238
O10 O 0.7611 0.7334 0.6238
O11 O 0.7648 0.2302 0.1041
O12 O 0.7698 0.2352 0.3959
```